# Cs2Te10Mo9
Theoretical powder diffractogram, Cu Kα, 1.54184 Å. Input: a structure optimized by DFT (GGA-PBE).
No peak broadening, texture or thermal motion is included.

Most intense lines, 2θ = 5–70°, in order of rising 2θ:
Position (°2θ), I (rel.)
10.03, 100
26.48, 57
26.69, 13
29.62, 40
31.80, 13
35.86, 14
40.15, 65
41.01, 20
47.50, 23
51.39, 13

Crystal structure
Unit cell a=14.5180 b=14.5180 c=14.5180 alpha=42.18 beta=42.18 gamma=42.18
Fractional coordinates of all 42 atoms:
Cs 0.0747 0.0747 0.0747
Cs 0.1985 0.1985 0.1985
Cs 0.8015 0.8015 0.8015
Cs 0.9253 0.9253 0.9253
Te 0.0626 0.6852 0.3218
Te 0.0870 0.4441 0.7034
Te 0.1792 0.8017 0.4329
Te 0.1983 0.5671 0.8208
Te 0.2966 0.2966 0.2966
Te 0.2966 0.9130 0.5559
Te 0.3148 0.6782 0.9374
Te 0.3218 0.0626 0.6852
Te 0.4329 0.1792 0.8017
Te 0.4441 0.7034 0.0870
Te 0.5559 0.2966 0.9130
Te 0.5671 0.8208 0.1983
Te 0.6782 0.9374 0.3148
Te 0.6852 0.3218 0.0626
Te 0.7034 0.0870 0.4441
Te 0.7034 0.7034 0.7034
Te 0.8017 0.4329 0.1792
Te 0.8208 0.1983 0.5671
Te 0.9130 0.5559 0.2966
Te 0.9374 0.3148 0.6782
Mo 0.1994 0.3717 0.4906
Mo 0.2710 0.5681 0.3981
Mo 0.3154 0.4874 0.6080
Mo 0.3717 0.4906 0.1994
Mo 0.3920 0.6846 0.5126
Mo 0.3981 0.2710 0.5681
Mo 0.4319 0.6019 0.7290
Mo 0.4874 0.6080 0.3154
Mo 0.4906 0.1994 0.3717
Mo 0.5094 0.8006 0.6283
Mo 0.5126 0.3920 0.6846
Mo 0.5681 0.3981 0.2710
Mo 0.6019 0.7290 0.4319
Mo 0.6080 0.3154 0.4874
Mo 0.6283 0.5094 0.8006
Mo 0.6846 0.5126 0.3920
Mo 0.7290 0.4319 0.6019
Mo 0.8006 0.6283 0.5094